Entry 1:
This entry pairs a crystal structure of V9GaSiGe with its calculated powder X-ray diffraction pattern. Radiation: Cu Kα X-rays. Structure: the GGA-PBE geometry in Alexandria.
Kinematic intensities with the Lorentz-polarization factor, no thermal factor.

Principal peaks in the range 2θ from 5° to 70°, low angle first:
- (0 0 1), 2θ 6.2, d = 14.255 Å, I 8
- (0 1 2), 2θ 22.5, d = 3.950 Å, I 3
- (1 1 1), 2θ 27.3, d = 3.266 Å, I 2
- (0 2 0), 2θ 37.9, d = 2.376 Å, I 28
- (2 0 0), 2θ 38.0, d = 2.370 Å, I 14
- (2 0 3), 2θ 42.6, d = 2.123 Å, I 100
- (1 2 3), 2θ 46.9, d = 1.938 Å, I 90
- (2 2 6), 2θ 68.5, d = 1.370 Å, I 5

Crystal structure
```
data_V9GaSiGe
_symmetry_space_group_name_H-M 'P m m 2'
_symmetry_Int_Tables_number 25
_cell_length_a 4.739
_cell_length_b 4.751
_cell_length_c 14.255
_cell_angle_alpha 90.00
_cell_angle_beta 90.00
_cell_angle_gamma 90.00
loop_
_symmetry_equiv_pos_as_xyz
'x,y,z'
'-x,-y,z'
'-x,y,z'
'x,-y,z'
loop_
_atom_site_label
_atom_site_fract_x
_atom_site_fract_y
_atom_site_fract_z
V1 0.000 0.000 0.000
V2 0.000 0.000 0.162
V3 0.000 0.000 0.330
V4 0.000 0.000 0.498
V5 0.000 0.000 0.668
V6 0.000 0.000 0.833
V7 0.244 0.500 0.245
V8 0.246 0.500 0.582
V9 0.255 0.500 0.919
V10 0.500 0.247 0.753
V11 0.500 0.249 0.416
V12 0.500 0.255 0.078
Ga1 0.500 0.000 0.247
Ga2 0.500 0.000 0.584
Si1 0.000 0.500 0.081
Si2 0.500 0.000 0.916
Ge1 0.000 0.500 0.414
Ge2 0.000 0.500 0.751
```

***

Entry 2:
This entry pairs a crystal structure of Li6TlSb5 with its calculated powder X-ray diffraction pattern. Radiation: Cu Kα X-rays. Structure: the GGA-PBE geometry in Alexandria.
Kinematic intensities with the Lorentz-polarization factor, no thermal factor.

Principal peaks in the range 2θ from 5° to 70°, low angle first:
- (0 2 0), 2θ 20.9, d = 4.251 Å, I 80
- (2 0 1), 2θ 27.8, d = 3.210 Å, I 79
- (2 2 1), 2θ 35.0, d = 2.561 Å, I 100
- (2 0 -2), 2θ 39.4, d = 2.287 Å, I 18
- (6 0 0), 2θ 40.0, d = 2.252 Å, I 17
- (2 2 -2), 2θ 45.0, d = 2.014 Å, I 21
- (6 2 0), 2θ 45.6, d = 1.990 Å, I 20
- (2 4 1), 2θ 51.6, d = 1.772 Å, I 28

Crystal structure
```
data_Li6TlSb5
_symmetry_space_group_name_H-M 'C 1 2/m 1'
_symmetry_Int_Tables_number 12
_cell_length_a 14.257
_cell_length_b 8.501
_cell_length_c 4.575
_cell_angle_alpha 90.00
_cell_angle_beta 108.59
_cell_angle_gamma 90.00
loop_
_symmetry_equiv_pos_as_xyz
'x,y,z'
'-x,-y,-z'
'-x,y,-z'
'x,-y,z'
'x+1/2,y+1/2,z'
'-x+1/2,-y+1/2,-z'
'-x+1/2,y+1/2,-z'
'x+1/2,-y+1/2,z'
loop_
_atom_site_label
_atom_site_fract_x
_atom_site_fract_y
_atom_site_fract_z
Li1 0.000 0.238 0.000
Li2 0.171 0.245 0.672
Tl1 0.000 0.500 0.500
Sb1 0.000 0.000 0.500
Sb2 0.165 0.500 0.165
Sb3 0.172 0.000 0.173
```

***

Entry 3:
This entry pairs a crystal structure of Re2Ni8Ir with its calculated powder X-ray diffraction pattern. Radiation: Cu Kα X-rays. Structure: the GGA-PBE geometry in Alexandria.
Kinematic intensities with the Lorentz-polarization factor, no thermal factor.

Principal peaks in the range 2θ from 5° to 70°, low angle first:
- (2 0 -1), 2θ 17.0, d = 5.202 Å, I 16
- (2 0 1), 2θ 18.2, d = 4.871 Å, I 35
- (4 0 0), 2θ 26.9, d = 3.317 Å, I 15
- (1 1 -1), 2θ 37.1, d = 2.421 Å, I 15
- (1 1 2), 2θ 42.9, d = 2.108 Å, I 100
- (4 0 -3), 2θ 43.1, d = 2.100 Å, I 49
- (6 0 1), 2θ 43.3, d = 2.089 Å, I 49
- (5 1 -1), 2θ 50.1, d = 1.820 Å, I 95

Crystal structure
```
data_Re2Ni8Ir
_symmetry_space_group_name_H-M 'C 1 2/m 1'
_symmetry_Int_Tables_number 12
_cell_length_a 13.297
_cell_length_b 2.587
_cell_length_c 7.726
_cell_angle_alpha 90.00
_cell_angle_beta 93.80
_cell_angle_gamma 90.00
loop_
_symmetry_equiv_pos_as_xyz
'x,y,z'
'-x,-y,-z'
'-x,y,-z'
'x,-y,z'
'x+1/2,y+1/2,z'
'-x+1/2,-y+1/2,-z'
'-x+1/2,y+1/2,-z'
'x+1/2,-y+1/2,z'
loop_
_atom_site_label
_atom_site_fract_x
_atom_site_fract_y
_atom_site_fract_z
Re1 0.226 0.000 0.146
Ni1 0.047 0.000 0.227
Ni2 0.089 0.500 0.954
Ni3 0.136 0.000 0.685
Ni4 0.182 0.500 0.414
Ir1 0.000 0.500 0.500
```

***

Entry 4:
This entry pairs a crystal structure of Ce4SiRh12 with its calculated powder X-ray diffraction pattern. Radiation: Cu Kα X-rays. Structure: the GGA-PBE geometry in Alexandria.
Kinematic intensities with the Lorentz-polarization factor, no thermal factor.

Principal peaks in the range 2θ from 5° to 70°, low angle first:
- (2 2 0), 2θ 30.4, d = 2.936 Å, I 3
- (3 1 0), 2θ 34.1, d = 2.626 Å, I 1
- (2 2 2), 2θ 37.5, d = 2.398 Å, I 100
- (3 2 1), 2θ 40.6, d = 2.220 Å, I 2
- (4 0 0), 2θ 43.6, d = 2.076 Å, I 51
- (3 3 0), 2θ 46.4, d = 1.958 Å, I 2
- (3 3 2), 2θ 51.6, d = 1.771 Å, I 3
- (4 4 0), 2θ 63.3, d = 1.468 Å, I 31

Crystal structure
```
data_Ce4SiRh12
_symmetry_space_group_name_H-M 'I m -3 m'
_symmetry_Int_Tables_number 229
_symmetry_space_group_name_Hall '-I 4 2 3'
_cell_length_a 8.306
_cell_length_b 8.306
_cell_length_c 8.306
_cell_angle_alpha 90.00
_cell_angle_beta 90.00
_cell_angle_gamma 90.00
loop_
_atom_site_label
_atom_site_fract_x
_atom_site_fract_y
_atom_site_fract_z
Ce1 0.250 0.250 0.250
Si1 0.000 0.000 0.000
Rh1 0.000 0.000 0.279
Rh2 0.000 0.250 0.500
```